# 1
Computed XRD peak list of CaNdCo4O12 for Cu Kα X-rays, from a structure optimized by DFT (GGA+U).
Intensities are scaled so that the largest is 1000.

Structural model:
a b c (Å): 7.5239 7.4676 7.5323
angles (deg): 90.00 90.00 90.00
Space group Amm2 (No. 38)
One atom of each set of equivalent atoms:
Ca (0.0000, 0.0000, 0.0000)
Nd (0.5000, 0.0000, 0.5134)
Co (0.2460, 0.2483, 0.2547)
O (0.0000, 0.2297, 0.2532)
O (0.2367, 0.0000, 0.7406)
O (0.2514, 0.2374, 0.0068)
O (0.2732, 0.0000, 0.2787)
O (0.5000, 0.2323, 0.7514)

Most intense lines, 10° ≤ 2θ ≤ 90°, low angle first:
- 2θ = 20.5°, intensity 920, (1 1 1)
- 2θ = 33.7°, intensity 489, (2 0 2)
- 2θ = 33.8°, intensity 1000, (2 2 0)
- 2θ = 39.7°, intensity 322, (3 1 1)
- 2θ = 48.4°, intensity 473, (4 0 0)
- 2θ = 48.8°, intensity 229, (0 4 0)
- 2θ = 60.3°, intensity 379, (2 2 4)
- 2θ = 71.1°, intensity 246, (4 4 0)

=====

# 2
Computed XRD peak list of CaCoNiP2O9 for Cu Kα X-rays, from a structure optimized by DFT (GGA+U).
Intensities are scaled so that the largest is 1000.

Structural model:
a b c (Å): 7.5191 6.4642 14.1813
angles (deg): 90.00 90.39 90.00
Space group Pm (No. 6)
One atom of each set of equivalent atoms:
Ca (0.0000, 0.0000, 0.0000)
Ca (0.2426, 0.0000, 0.4982)
Ca (0.4937, 0.5000, 0.0594)
Ca (0.7406, 0.5000, 0.5562)
Co (0.0249, 0.5000, 0.1601)
Co (0.2174, 0.5000, 0.6607)
Co (0.5241, 0.0000, 0.8952)
Co (0.7192, 0.0000, 0.3943)
Ni (0.3692, 0.2490, 0.2779)
Ni (0.8702, 0.2498, 0.7775)
P (0.0182, 0.0000, 0.2162)
P (0.2224, 0.0000, 0.7158)
P (0.2627, 0.5000, 0.4720)
P (0.4784, 0.0000, 0.0837)
P (0.5189, 0.5000, 0.8406)
P (0.7212, 0.5000, 0.3385)
P (0.7618, 0.0000, 0.5833)
P (0.9860, 0.5000, 0.9730)
O (0.0045, 0.1870, 0.1475)
O (0.0142, 0.5000, 0.7256)
O (0.0405, 0.0000, 0.7658)
O (0.0893, 0.5000, 0.5350)
O (0.1606, 0.5000, 0.0339)
O (0.2010, 0.0000, 0.2665)
O (0.2214, 0.5000, 0.2220)
O (0.2360, 0.1883, 0.6476)
O (0.2666, 0.3021, 0.4116)
O (0.3278, 0.0000, 0.0069)
O (0.3687, 0.5000, 0.7682)
O (0.3722, 0.0000, 0.7886)
O (0.4131, 0.5000, 0.5490)
O (0.4744, 0.1977, 0.1444)
O (0.5060, 0.3119, 0.9092)
O (0.5144, 0.0000, 0.3297)
O (0.5357, 0.5000, 0.2896)
O (0.5882, 0.0000, 0.5202)
O (0.6519, 0.0000, 0.0210)
O (0.7007, 0.5000, 0.7906)
O (0.7270, 0.0000, 0.8304)
O (0.7349, 0.3120, 0.4076)
O (0.7671, 0.1984, 0.6439)
O (0.8428, 0.5000, 0.0545)
O (0.8643, 0.5000, 0.2639)
O (0.8702, 0.0000, 0.2890)
O (0.9124, 0.0000, 0.5074)
O (0.9718, 0.3024, 0.9130)

Most intense lines, 10° ≤ 2θ ≤ 90°, low angle first:
- 2θ = 13.3°, intensity 240, (1 0 -1)
- 2θ = 17.1°, intensity 193, (1 0 -2)
- 2θ = 17.2°, intensity 198, (1 0 2)
- 2θ = 24.5°, intensity 1000, (2 0 1)
- 2θ = 27.6°, intensity 304, (0 2 0)
- 2θ = 30.4°, intensity 209, (0 2 2)
- 2θ = 30.8°, intensity 477, (1 2 1)
- 2θ = 35.7°, intensity 198, (1 2 -3)

=====

# 3
Computed XRD peak list of Ca2CoSi4NiO12 for Cu Kα X-rays, from a structure optimized by DFT (GGA+U).
Intensities are scaled so that the largest is 1000.

Structural model:
a b c (Å): 9.9205 9.0214 5.3117
angles (deg): 90.00 106.27 90.00
Space group C2 (No. 5)
One atom of each set of equivalent atoms:
Ca (0.0000, 0.0000, 0.0000)
Ca (0.0000, 0.4061, 0.5000)
Co (0.0000, 0.7952, 0.5000)
Si (0.2132, 0.1102, 0.5207)
Si (0.2126, 0.2956, 0.0197)
Ni (0.0000, 0.6105, 0.0000)
O (0.1164, 0.6142, 0.3908)
O (0.1167, 0.7902, 0.8951)
O (0.1378, 0.4522, 0.9282)
O (0.1391, 0.9537, 0.4274)
O (0.1490, 0.1849, 0.7536)
O (0.1500, 0.2208, 0.2542)

Most intense lines, 10° ≤ 2θ ≤ 90°, low angle first:
- 2θ = 13.5°, intensity 317, (1 1 0)
- 2θ = 29.4°, intensity 1000, (2 2 -1)
- 2θ = 29.8°, intensity 402, (3 1 0)
- 2θ = 34.6°, intensity 383, (1 3 -1)
- 2θ = 35.2°, intensity 427, (0 0 2)
- 2θ = 35.3°, intensity 456, (2 2 1)
- 2θ = 41.8°, intensity 263, (3 3 -1)
- 2θ = 64.7°, intensity 188, (5 3 1)

=====

# 4
Computed XRD peak list of Ca2Co2O5 for Cu Kα X-rays, from a structure optimized by DFT (GGA+U).
Intensities are scaled so that the largest is 1000.

Structural model:
a b c (Å): 5.3683 5.2033 7.9606
angles (deg): 90.00 90.05 90.00
Space group P2_1 (No. 4)
One atom of each set of equivalent atoms:
Ca (0.2038, 0.0000, 0.2520)
Ca (0.2898, 0.0556, 0.7507)
Co (0.2470, 0.5329, 0.5205)
Co (0.2502, 0.5327, 0.9800)
O (0.0318, 0.2307, 0.5508)
O (0.0337, 0.2330, 0.9568)
O (0.2274, 0.6256, 0.7431)
O (0.4614, 0.7928, 0.4445)
O (0.4627, 0.7926, 0.0564)

Most intense lines, 10° ≤ 2θ ≤ 90°, low angle first:
- 2θ = 23.8°, intensity 109, (1 1 0)
- 2θ = 32.9°, intensity 1000, (1 1 2)
- 2θ = 33.4°, intensity 162, (2 0 0)
- 2θ = 34.5°, intensity 149, (0 2 0)
- 2θ = 45.6°, intensity 140, (0 0 4)
- 2θ = 48.7°, intensity 275, (2 2 0)
- 2θ = 59.3°, intensity 140, (3 1 2)
- 2θ = 60.7°, intensity 181, (1 3 2)